Structure and simulated powder X-ray diffraction pattern of PaBrO (a GGA-PBE-relaxed structure; λ = 1.5418 Å (Cu Kα)).
Peak positions follow from Bragg's law for the DFT cell and can differ from measured ones.

Cell and atoms:
```
data_PaBrO
_cell_length_a 3.9291
_cell_length_b 3.9291
_cell_length_c 11.1871
_cell_angle_alpha 92.44
_cell_angle_beta 92.44
_cell_angle_gamma 60.00
_symmetry_space_group_name_H-M 'P 1'
_symmetry_Int_Tables_number 1
loop_
_symmetry_equiv_pos_as_xyz
'x,y,z'
loop_
_atom_site_label
_atom_site_type_symbol
_atom_site_fract_x
_atom_site_fract_y
_atom_site_fract_z
Pa1 Pa 0.1567 0.1567 0.3756
Pa2 Pa 0.8433 0.8433 0.6244
Br1 Br 0.4750 0.4750 0.1888
Br2 Br 0.5250 0.5250 0.8112
O1 O 0.1738 0.1738 0.5900
O2 O 0.8262 0.8262 0.4100
```

Largest 10 diffraction maxima, in order of falling intensity, 10 to 80 degrees two-theta:
| d_spacing | I_rel |
| --- | --- |
| 3.232 | 100 |
| 2.543 | 59 |
| 2.874 | 56 |
| 1.963 | 54 |
| 2.969 | 44 |
| 3.297 | 35 |
| 2.451 | 27 |
| 2.793 | 27 |
| 1.639 | 23 |
| 1.575 | 19 |